[1]
Starting from DFT lattice parameters and positions (GGA-PBE), the powder XRD pattern of DyMg6Tl6 was computed for copper Kα.
Kinematic intensities with the Lorentz-polarization factor, no thermal factor.

Peak list (10 most intense, 15° ≤ 2θ ≤ 90°, low angle first)
2theta, I_rel
18.14, 29
24.69, 19
28.63, 100
29.15, 40
34.10, 44
34.54, 21
35.29, 17
51.36, 17
59.30, 19
64.50, 20

Cell and atoms:
Lattice parameters (Å, degrees): 7.926 7.926 7.926 134.52 103.78 93.48
Positions (direct):
Dy 0.000 0.000 0.000
Mg 0.000 0.000 0.500
Mg 0.000 0.500 0.000
Mg 0.248 0.500 0.748
Mg 0.500 0.000 0.000
Mg 0.500 0.500 0.500
Mg 0.752 0.500 0.252
Tl 0.162 0.662 0.500
Tl 0.334 0.334 0.000
Tl 0.340 0.000 0.340
Tl 0.660 0.000 0.660
Tl 0.666 0.666 0.000
Tl 0.838 0.338 0.500



[2]
Starting from DFT lattice parameters and positions (GGA-PBE), the powder XRD pattern of Dy5Mg2Tl was computed for copper Kα.
Kinematic intensities with the Lorentz-polarization factor, no thermal factor.

Peak list (10 most intense, 15° ≤ 2θ ≤ 90°, low angle first)
2theta, I_rel
26.03, 30
28.43, 47
30.96, 100
32.23, 20
32.76, 47
36.16, 64
49.26, 14
51.21, 17
55.16, 21
60.78, 14

Cell and atoms:
Lattice parameters (Å, degrees): 9.423 9.423 9.423 130.73 130.73 72.24
Positions (direct):
Dy 0.000 0.000 0.000
Dy 0.003 0.503 0.823
Dy 0.180 0.003 0.500
Dy 0.320 0.820 0.823
Dy 0.497 0.320 0.500
Dy 0.500 0.500 0.000
Dy 0.503 0.680 0.500
Dy 0.680 0.180 0.177
Dy 0.820 0.997 0.500
Dy 0.997 0.497 0.177
Mg 0.128 0.372 0.500
Mg 0.372 0.872 0.243
Mg 0.628 0.128 0.757
Mg 0.872 0.628 0.500
Tl 0.250 0.250 0.000
Tl 0.750 0.750 0.000



[3]
Starting from DFT lattice parameters and positions (GGA-PBE), the powder XRD pattern of Dy2Mg3Tl was computed for copper Kα.
Kinematic intensities with the Lorentz-polarization factor, no thermal factor.

Peak list (10 most intense, 15° ≤ 2θ ≤ 90°, low angle first)
2theta, I_rel
16.31, 12
20.08, 25
21.70, 24
32.99, 100
35.04, 22
35.21, 43
48.92, 23
49.10, 13
61.84, 10
65.46, 14

Cell and atoms:
Lattice parameters (Å, degrees): 10.196 9.464 6.170 78.30 65.36 36.34
Positions (direct):
Dy 0.249 0.751 0.751
Dy 0.250 0.250 0.250
Dy 0.750 0.750 0.750
Dy 0.751 0.249 0.249
Mg 0.166 0.668 0.332
Mg 0.332 0.834 0.166
Mg 0.334 0.334 0.666
Mg 0.666 0.666 0.334
Mg 0.668 0.166 0.834
Mg 0.834 0.332 0.668
Tl 0.166 0.166 0.834
Tl 0.834 0.834 0.166



[4]
Starting from DFT lattice parameters and positions (GGA-PBE), the powder XRD pattern of Dy2Tm7Mg2 was computed for copper Kα.
Kinematic intensities with the Lorentz-polarization factor, no thermal factor.

Peak list (10 most intense, 15° ≤ 2θ ≤ 90°, low angle first)
2theta, I_rel
31.10, 9
32.40, 100
32.64, 23
33.58, 10
34.52, 29
35.17, 25
46.49, 10
55.97, 13
59.74, 9
66.83, 11

Cell and atoms:
Lattice parameters (Å, degrees): 8.036 8.036 5.555 105.57 105.57 86.97
Positions (direct):
Dy 0.221 0.779 0.000
Dy 0.779 0.221 0.000
Tm 0.000 0.000 0.500
Tm 0.020 0.603 0.317
Tm 0.219 0.219 0.165
Tm 0.397 0.980 0.683
Tm 0.603 0.020 0.317
Tm 0.781 0.781 0.835
Tm 0.980 0.397 0.683
Mg 0.435 0.435 0.714
Mg 0.565 0.565 0.286



[5]
Starting from DFT lattice parameters and positions (GGA-PBE), the powder XRD pattern of Dy4Tm4Mg was computed for copper Kα.
Kinematic intensities with the Lorentz-polarization factor, no thermal factor.

Peak list (10 most intense, 15° ≤ 2θ ≤ 90°, low angle first)
2theta, I_rel
31.42, 100
36.12, 17
36.59, 33
52.36, 24
52.72, 12
62.04, 14
62.67, 28
65.57, 12
85.72, 12
86.28, 6

Cell and atoms:
Lattice parameters (Å, degrees): 7.775 7.775 7.775 95.87 95.87 142.70
Positions (direct):
Dy 0.167 0.167 0.334
Dy 0.167 0.833 0.000
Dy 0.833 0.167 0.000
Dy 0.833 0.833 0.666
Tm 0.166 0.500 0.666
Tm 0.500 0.166 0.666
Tm 0.500 0.834 0.334
Tm 0.834 0.500 0.334
Mg 0.500 0.500 0.000



[6]
Starting from DFT lattice parameters and positions (GGA-PBE), the powder XRD pattern of Dy4Tm5Mg2 was computed for copper Kα.
Kinematic intensities with the Lorentz-polarization factor, no thermal factor.

Peak list (10 most intense, 15° ≤ 2θ ≤ 90°, low angle first)
2theta, I_rel
30.99, 63
31.87, 100
31.98, 75
32.13, 63
34.90, 86
34.94, 55
40.39, 23
50.91, 37
61.28, 25
61.53, 21

Cell and atoms:
Lattice parameters (Å, degrees): 3.455 8.058 11.936 90.50 90.01 102.30
Positions (direct):
Dy 0.056 0.109 0.295
Dy 0.369 0.735 0.181
Dy 0.631 0.265 0.819
Dy 0.944 0.891 0.705
Tm 0.000 0.000 0.000
Tm 0.254 0.512 0.628
Tm 0.317 0.634 0.902
Tm 0.683 0.366 0.098
Tm 0.746 0.488 0.372
Mg 0.413 0.824 0.457
Mg 0.587 0.176 0.543